[1]
Diffraction record for Li3NiSb4O12. The PXRD pattern is theoretical, not measured: it uses a DFT-relaxed cell (PBE+U, Alexandria) and CuKα.
Kinematic intensities with the Lorentz-polarization factor, no thermal factor.

Crystal structure
Cell lengths 5.2400, 5.5740, 7.6520 Å; angles 94.72, 90.02, 90.09 degrees
Space group P1 (No. 1)
Asymmetric unit:
Li 0.0000 0.0000 0.0000
Li 0.0017 0.0043 0.4911
Li 0.4993 0.5101 0.4941
Ni 0.5002 0.5363 0.9858
Sb 0.0031 0.4314 0.2845
Sb 0.4966 0.9425 0.7777
Sb 0.5003 0.9381 0.2870
Sb 0.9992 0.4298 0.7784
O 0.1420 0.4027 0.0352
O 0.1607 0.0964 0.7300
O 0.1995 0.7315 0.3658
O 0.3044 0.2346 0.3665
O 0.3339 0.5962 0.7369
O 0.3691 0.8944 0.0367
O 0.6364 0.9084 0.5334
O 0.6734 0.6012 0.2263
O 0.6896 0.2424 0.8679
O 0.7980 0.7285 0.8664
O 0.8289 0.1025 0.2296
O 0.8645 0.4107 0.5329

Most intense lines, 5 to 70 degrees two-theta, by angle:
23.33 deg, I 100, (1 1 0)
32.25 deg, I 55, (1 1 -2)
34.20 deg, I 42, (2 0 0)
41.82 deg, I 15, (0 2 2)
47.71 deg, I 24, (0 0 4)
52.42 deg, I 31, (1 -3 0)
55.07 deg, I 14, (2 2 2)
56.22 deg, I 8, (0 2 -4)
59.99 deg, I 17, (2 0 4)
61.20 deg, I 11, (-3 1 2)

---

[2]
Diffraction record for Li4Ni5Sb3O16. The PXRD pattern is theoretical, not measured: it uses a DFT-relaxed cell (PBE+U, Alexandria) and CuKα.
Kinematic intensities with the Lorentz-polarization factor, no thermal factor.

Crystal structure
Cell lengths 5.9626, 6.0317, 9.6666 Å; angles 89.11, 88.99, 60.65 degrees
Space group P1 (No. 1)
Asymmetric unit:
Li 0.0000 0.0000 0.0000
Li 0.0228 0.0012 0.4896
Li 0.3728 0.3448 0.5969
Li 0.7107 0.6871 0.1191
Ni 0.2071 0.6833 0.2769
Ni 0.3835 0.3688 0.0092
Ni 0.6997 0.1913 0.2789
Ni 0.6998 0.6942 0.4974
Ni 0.8699 0.8528 0.7738
Sb 0.2072 0.1913 0.2787
Sb 0.3758 0.8553 0.7793
Sb 0.8700 0.3611 0.7765
O 0.0048 0.5294 0.6500
O 0.0161 0.0459 0.1793
O 0.0431 0.0279 0.6726
O 0.0787 0.5074 0.1603
O 0.1965 0.1821 0.8930
O 0.2052 0.7059 0.8931
O 0.3493 0.8611 0.3866
O 0.3912 0.3330 0.3889
O 0.5245 0.5000 0.1702
O 0.5313 0.0616 0.1587
O 0.5473 0.9852 0.6522
O 0.5481 0.5386 0.6558
O 0.7025 0.6832 0.8942
O 0.7134 0.1948 0.8879
O 0.8716 0.3323 0.3914
O 0.8730 0.8620 0.3783

Most intense lines, 5 to 70 degrees two-theta, by angle:
18.36 deg, I 100, (0 0 2)
19.15 deg, I 20, (0 1 1)
19.30 deg, I 60, (1 1 1)
24.97 deg, I 21, (1 1 2)
32.49 deg, I 16, (1 0 3)
34.97 deg, I 18, (1 -1 2)
35.32 deg, I 25, (0 2 1)
35.46 deg, I 18, (0 2 -1)
35.70 deg, I 37, (2 0 1)
44.52 deg, I 26, (2 2 3)